# SrIrBr2
Computed powder XRD pattern, Cu Kα (λ = 1.5418 Å). Input: DFT lattice parameters and positions (PBE).
Peak positions follow from Bragg's law for the DFT cell and can differ from measured ones.

Most intense lines, 10° ≤ 2θ ≤ 90°, low angle first:
d 7.869, 2θ = 11.24°, intensity 69, (0 0 3)
d 3.934, 2θ = 22.60°, intensity 31, (0 0 6)
d 3.494, 2θ = 25.50°, intensity 20, (0 1 2)
d 3.109, 2θ = 28.72°, intensity 100, (1 0 4)
d 2.297, 2θ = 39.23°, intensity 24, (0 1 8)
d 2.112, 2θ = 42.82°, intensity 49, (1 1 0)
d 1.861, 2θ = 48.96°, intensity 23, (1 1 6)
d 1.747, 2θ = 52.38°, intensity 19, (0 2 4)
d 1.439, 2θ = 64.77°, intensity 19, (1 1 12)
d 1.346, 2θ = 69.89°, intensity 16, (2 1 4)

Atomic structure:
a b c (Å): 4.223 4.223 23.606
angles (deg): 90.00 90.00 120.00
Element x y z (fractional)
Sr (0.000, 0.000, 0.000)
Sr (0.333, 0.667, 0.667)
Sr (0.667, 0.333, 0.333)
Ir (0.000, 0.000, 0.242)
Ir (0.333, 0.667, 0.909)
Ir (0.667, 0.333, 0.576)
Br (0.000, 0.000, 0.557)
Br (0.000, 0.000, 0.743)
Br (0.333, 0.667, 0.224)
Br (0.333, 0.667, 0.410)
Br (0.667, 0.333, 0.076)
Br (0.667, 0.333, 0.891)